Calculated powder XRD pattern of CsK2InF6 for Cu Kα, 1.54184 Å, from a PBE-relaxed structure.
Peak positions follow from Bragg's law for the DFT cell and can differ from measured ones.

Largest 8 diffraction maxima, by intensity, 10° ≤ 2θ ≤ 80°:
hkl  Position (°2θ)  intensity
2 2 0  25.82  100
2 0 0  18.18  57
4 0 0  36.84  41
4 2 2  45.54  38
4 4 0  53.09  25
4 2 0  41.38  24
6 4 2  72.48  22
6 2 0  59.95  21

Cell and atoms:
```
data_CsK2InF6
_chemical_formula_sum 'Cs4 K8 In4 F24'
_symmetry_space_group_name_H-M 'F m -3 m'
_symmetry_Int_Tables_number 225
_symmetry_space_group_name_Hall '-F 4 2 3'
_cell_length_a 9.759
_cell_length_b 9.759
_cell_length_c 9.759
_cell_angle_alpha 90.00
_cell_angle_beta 90.00
_cell_angle_gamma 90.00
loop_
_atom_site_label
_atom_site_type_symbol
_atom_site_fract_x
_atom_site_fract_y
_atom_site_fract_z
_atom_site_occupancy
Cs1 Cs 0.000 0.000 0.000 1
K1 K 0.250 0.250 0.250 1
In1 In 0.000 0.000 0.500 1
F1 F 0.000 0.000 0.284 1
```



Calculated powder XRD pattern of Cs2KInF6 for Cu Kα, 1.54184 Å, from a PBE-relaxed structure.
Peak positions follow from Bragg's law for the DFT cell and can differ from measured ones.

Largest 8 diffraction maxima, by intensity, 10° ≤ 2θ ≤ 80°:
hkl  Position (°2θ)  intensity
2 2 0  26.67  100
4 2 2  47.10  40
4 0 0  38.08  37
4 4 0  54.95  23
6 4 2  75.22  22
6 2 0  62.10  20
1 1 1  16.24  13
2 2 2  32.82  12

Cell and atoms:
```
data_Cs2KInF6
_chemical_formula_sum 'Cs8 K4 In4 F24'
_symmetry_space_group_name_H-M 'F m -3 m'
_symmetry_Int_Tables_number 225
_symmetry_space_group_name_Hall '-F 4 2 3'
_cell_length_a 9.453
_cell_length_b 9.453
_cell_length_c 9.453
_cell_angle_alpha 90.00
_cell_angle_beta 90.00
_cell_angle_gamma 90.00
loop_
_atom_site_label
_atom_site_type_symbol
_atom_site_fract_x
_atom_site_fract_y
_atom_site_fract_z
_atom_site_occupancy
Cs1 Cs 0.250 0.250 0.250 1
K1 K 0.000 0.000 0.000 1
In1 In 0.000 0.000 0.500 1
F1 F 0.000 0.000 0.276 1
```



Calculated powder XRD pattern of Cs2InSbF6 for Cu Kα, 1.54184 Å, from a PBE-relaxed structure.
Peak positions follow from Bragg's law for the DFT cell and can differ from measured ones.

Largest 8 diffraction maxima, by intensity, 10° ≤ 2θ ≤ 80°:
hkl  Position (°2θ)  intensity
2 2 0  25.83  100
4 2 2  45.55  42
4 0 0  36.85  34
6 4 2  72.50  22
4 4 0  53.10  22
6 2 0  59.96  20
4 4 4  66.38  7
2 2 2  31.77  3

Cell and atoms:
```
data_Cs2InSbF6
_chemical_formula_sum 'Cs8 In4 Sb4 F24'
_symmetry_space_group_name_H-M 'F m -3 m'
_symmetry_Int_Tables_number 225
_symmetry_space_group_name_Hall '-F 4 2 3'
_cell_length_a 9.757
_cell_length_b 9.757
_cell_length_c 9.757
_cell_angle_alpha 90.00
_cell_angle_beta 90.00
_cell_angle_gamma 90.00
loop_
_atom_site_label
_atom_site_type_symbol
_atom_site_fract_x
_atom_site_fract_y
_atom_site_fract_z
_atom_site_occupancy
Cs1 Cs 0.250 0.250 0.250 1
In1 In 0.000 0.000 0.000 1
Sb1 Sb 0.000 0.000 0.500 1
F1 F 0.000 0.000 0.273 1
```



Calculated powder XRD pattern of Cs2TlInF6 for Cu Kα, 1.54184 Å, from a PBE-relaxed structure.
Peak positions follow from Bragg's law for the DFT cell and can differ from measured ones.

Largest 8 diffraction maxima, by intensity, 10° ≤ 2θ ≤ 80°:
hkl  Position (°2θ)  intensity
2 2 0  26.14  100
4 2 2  46.12  42
4 0 0  37.30  31
6 4 2  73.50  23
6 2 0  60.75  21
4 4 0  53.78  20
4 4 4  67.27  7
2 0 0  18.40  4

Cell and atoms:
```
data_Cs2TlInF6
_chemical_formula_sum 'Cs8 Tl4 In4 F24'
_symmetry_space_group_name_H-M 'F m -3 m'
_symmetry_Int_Tables_number 225
_symmetry_space_group_name_Hall '-F 4 2 3'
_cell_length_a 9.642
_cell_length_b 9.642
_cell_length_c 9.642
_cell_angle_alpha 90.00
_cell_angle_beta 90.00
_cell_angle_gamma 90.00
loop_
_atom_site_label
_atom_site_type_symbol
_atom_site_fract_x
_atom_site_fract_y
_atom_site_fract_z
_atom_site_occupancy
Cs1 Cs 0.250 0.250 0.250 1
Tl1 Tl 0.000 0.000 0.000 1
In1 In 0.000 0.000 0.500 1
F1 F 0.000 0.000 0.280 1
```



Calculated powder XRD pattern of Cs2NaIrF6 for Cu Kα, 1.54184 Å, from a PBE-relaxed structure.
Peak positions follow from Bragg's law for the DFT cell and can differ from measured ones.

Largest 8 diffraction maxima, by intensity, 10° ≤ 2θ ≤ 80°:
hkl  Position (°2θ)  intensity
2 2 0  28.32  100
4 2 2  50.13  41
1 1 1  17.23  37
4 0 0  40.48  34
4 4 0  58.58  22
6 2 0  66.32  19
3 1 1  33.34  18
5 1 1  53.41  8

Cell and atoms:
```
data_Cs2NaIrF6
_chemical_formula_sum 'Cs8 Na4 Ir4 F24'
_symmetry_space_group_name_H-M 'F m -3 m'
_symmetry_Int_Tables_number 225
_symmetry_space_group_name_Hall '-F 4 2 3'
_cell_length_a 8.914
_cell_length_b 8.914
_cell_length_c 8.914
_cell_angle_alpha 90.00
_cell_angle_beta 90.00
_cell_angle_gamma 90.00
loop_
_atom_site_label
_atom_site_type_symbol
_atom_site_fract_x
_atom_site_fract_y
_atom_site_fract_z
_atom_site_occupancy
Cs1 Cs 0.250 0.250 0.250 1
Na1 Na 0.000 0.000 0.000 1
Ir1 Ir 0.000 0.000 0.500 1
F1 F 0.000 0.000 0.269 1
```



Calculated powder XRD pattern of CsRb2IrF6 for Cu Kα, 1.54184 Å, from a PBE-relaxed structure.
Peak positions follow from Bragg's law for the DFT cell and can differ from measured ones.

Largest 8 diffraction maxima, by intensity, 10° ≤ 2θ ≤ 80°:
hkl  Position (°2θ)  intensity
2 2 0  26.27  100
4 2 2  46.36  40
4 0 0  37.50  32
6 4 2  73.92  23
6 2 0  61.09  21
4 4 0  54.07  20
2 0 0  18.50  20
4 2 0  42.12  8

Cell and atoms:
```
data_CsRb2IrF6
_chemical_formula_sum 'Cs4 Rb8 Ir4 F24'
_symmetry_space_group_name_H-M 'F m -3 m'
_symmetry_Int_Tables_number 225
_symmetry_space_group_name_Hall '-F 4 2 3'
_cell_length_a 9.594
_cell_length_b 9.594
_cell_length_c 9.594
_cell_angle_alpha 90.00
_cell_angle_beta 90.00
_cell_angle_gamma 90.00
loop_
_atom_site_label
_atom_site_type_symbol
_atom_site_fract_x
_atom_site_fract_y
_atom_site_fract_z
_atom_site_occupancy
Cs1 Cs 0.000 0.000 0.000 1
Rb1 Rb 0.250 0.250 0.250 1
Ir1 Ir 0.000 0.000 0.500 1
F1 F 0.000 0.000 0.288 1
```



Calculated powder XRD pattern of CsK2NbF6 for Cu Kα, 1.54184 Å, from a PBE-relaxed structure.
Peak positions follow from Bragg's law for the DFT cell and can differ from measured ones.

Largest 8 diffraction maxima, by intensity, 10° ≤ 2θ ≤ 80°:
hkl  Position (°2θ)  intensity
2 2 0  25.82  100
2 0 0  18.18  54
4 0 0  36.84  43
4 2 2  45.54  37
4 4 0  53.09  26
4 2 0  41.38  22
6 4 2  72.48  22
6 2 0  59.95  21

Cell and atoms:
```
data_CsK2NbF6
_chemical_formula_sum 'Cs4 K8 Nb4 F24'
_symmetry_space_group_name_H-M 'F m -3 m'
_symmetry_Int_Tables_number 225
_symmetry_space_group_name_Hall '-F 4 2 3'
_cell_length_a 9.759
_cell_length_b 9.759
_cell_length_c 9.759
_cell_angle_alpha 90.00
_cell_angle_beta 90.00
_cell_angle_gamma 90.00
loop_
_atom_site_label
_atom_site_type_symbol
_atom_site_fract_x
_atom_site_fract_y
_atom_site_fract_z
_atom_site_occupancy
Cs1 Cs 0.000 0.000 0.000 1
K1 K 0.250 0.250 0.250 1
Nb1 Nb 0.000 0.000 0.500 1
F1 F 0.000 0.000 0.284 1
```



Calculated powder XRD pattern of Cs2KTiO2F3 for Cu Kα, 1.54184 Å, from a PBE-relaxed structure.
Peak positions follow from Bragg's law for the DFT cell and can differ from measured ones.

Largest 8 diffraction maxima, by intensity, 10° ≤ 2θ ≤ 80°:
hkl  Position (°2θ)  intensity
2 0 2  27.58  100
0 2 2  26.38  83
2 2 0  27.87  72
2 2 2  33.58  50
2 2 4  47.12  39
2 4 2  47.66  39
0 4 0  38.08  29
4 2 2  49.84  25

Cell and atoms:
```
data_Cs2KTiO2F3
_chemical_formula_sum 'Cs8 K4 Ti4 O8 F12'
_symmetry_space_group_name_H-M 'F m m 2'
_symmetry_Int_Tables_number 42
_symmetry_space_group_name_Hall 'F 2 -2'
_cell_length_a 8.705
_cell_length_b 9.452
_cell_length_c 9.666
_cell_angle_alpha 90.00
_cell_angle_beta 90.00
_cell_angle_gamma 90.00
loop_
_atom_site_label
_atom_site_type_symbol
_atom_site_fract_x
_atom_site_fract_y
_atom_site_fract_z
_atom_site_occupancy
Cs1 Cs 0.250 0.250 0.000 1
K1 K 0.000 0.000 0.267 1
Ti1 Ti 0.000 0.000 0.746 1
O1 O 0.171 0.000 0.842 1
F1 F 0.000 0.000 0.539 1
F2 F 0.000 0.217 0.720 1
```



Calculated powder XRD pattern of Cs2KZrOF5 for Cu Kα, 1.54184 Å, from a PBE-relaxed structure.
Peak positions follow from Bragg's law for the DFT cell and can differ from measured ones.

Largest 8 diffraction maxima, by intensity, 10° ≤ 2θ ≤ 80°:
hkl  Position (°2θ)  intensity
1 1 2  26.58  100
2 0 0  26.70  48
3 1 2  47.07  39
2 2 0  38.11  36
2 0 2  32.75  25
2 2 4  54.74  22
3 3 2  62.13  19
2 0 4  46.85  19

Cell and atoms:
```
data_Cs2KZrOF5
_chemical_formula_sum 'Cs4 K2 Zr2 O2 F10'
_symmetry_space_group_name_H-M 'I 4 m m'
_symmetry_Int_Tables_number 107
_symmetry_space_group_name_Hall 'I 4 -2'
_cell_length_a 6.679
_cell_length_b 6.679
_cell_length_c 9.528
_cell_angle_alpha 90.00
_cell_angle_beta 90.00
_cell_angle_gamma 90.00
loop_
_atom_site_label
_atom_site_type_symbol
_atom_site_fract_x
_atom_site_fract_y
_atom_site_fract_z
_atom_site_occupancy
Cs1 Cs 0.000 0.500 0.000 1
K1 K 0.000 0.000 0.255 1
Zr1 Zr 0.000 0.000 0.734 1
O1 O 0.000 0.000 0.535 1
F1 F 0.000 0.000 0.972 1
F2 F 0.221 0.221 0.756 1
```



Calculated powder XRD pattern of Cs2KPdF6 for Cu Kα, 1.54184 Å, from a PBE-relaxed structure.
Peak positions follow from Bragg's law for the DFT cell and can differ from measured ones.

Largest 8 diffraction maxima, by intensity, 10° ≤ 2θ ≤ 80°:
hkl  Position (°2θ)  intensity
1 1 2  26.84  100
2 0 0  27.46  48
3 1 2  48.17  37
2 2 0  39.22  34
2 2 4  55.32  23
2 0 4  47.02  21
2 0 2  33.29  20
0 0 4  37.40  20

Cell and atoms:
```
data_Cs2KPdF6
_chemical_formula_sum 'Cs4 K2 Pd2 F12'
_symmetry_space_group_name_H-M 'I 4/m m m'
_symmetry_Int_Tables_number 139
_symmetry_space_group_name_Hall '-I 4 2'
_cell_length_a 6.496
_cell_length_b 6.496
_cell_length_c 9.617
_cell_angle_alpha 90.00
_cell_angle_beta 90.00
_cell_angle_gamma 90.00
loop_
_atom_site_label
_atom_site_type_symbol
_atom_site_fract_x
_atom_site_fract_y
_atom_site_fract_z
_atom_site_occupancy
Cs1 Cs 0.000 0.500 0.250 1
K1 K 0.000 0.000 0.000 1
Pd1 Pd 0.000 0.000 0.500 1
F1 F 0.000 0.000 0.268 1
F2 F 0.218 0.218 0.500 1
```



Calculated powder XRD pattern of CsK2PdF6 for Cu Kα, 1.54184 Å, from a PBE-relaxed structure.
Peak positions follow from Bragg's law for the DFT cell and can differ from measured ones.

Largest 8 diffraction maxima, by intensity, 10° ≤ 2θ ≤ 80°:
hkl  Position (°2θ)  intensity
2 2 0  26.34  100
2 0 0  18.54  56
4 0 0  37.60  41
4 2 2  46.49  37
4 4 0  54.22  24
4 2 0  42.24  23
6 4 2  74.15  22
6 2 0  61.26  21

Cell and atoms:
```
data_CsK2PdF6
_chemical_formula_sum 'Cs4 K8 Pd4 F24'
_symmetry_space_group_name_H-M 'F m -3 m'
_symmetry_Int_Tables_number 225
_symmetry_space_group_name_Hall '-F 4 2 3'
_cell_length_a 9.569
_cell_length_b 9.569
_cell_length_c 9.569
_cell_angle_alpha 90.00
_cell_angle_beta 90.00
_cell_angle_gamma 90.00
loop_
_atom_site_label
_atom_site_type_symbol
_atom_site_fract_x
_atom_site_fract_y
_atom_site_fract_z
_atom_site_occupancy
Cs1 Cs 0.000 0.000 0.000 1
K1 K 0.250 0.250 0.250 1
Pd1 Pd 0.000 0.000 0.500 1
F1 F 0.000 0.000 0.285 1
```